1.
The following is a theoretical X-ray powder pattern of La4Tc3N10. It was derived from DFT lattice parameters and positions (PBE), using Cu Kα X-rays.

Cell and atoms:
```
La4Tc3N10
1.0
-1.9802 1.9802 14.2355
1.9802 -1.9802 14.2355
1.9802 1.9802 -14.2355
La Tc N
4 3 10
direct
0.0676 0.0676 0.0000
0.2024 0.2024 0.0000
0.7976 0.7976 0.0000
0.9324 0.9324 0.0000
0.3610 0.3610 0.0000
0.5000 0.5000 0.0000
0.6390 0.6390 0.0000
0.0000 0.5000 0.5000
0.1398 0.6398 0.5000
0.2877 0.2877 0.0000
0.3602 0.8602 0.5000
0.4301 0.4301 0.0000
0.5000 0.0000 0.5000
0.5699 0.5699 0.0000
0.6398 0.1398 0.5000
0.7123 0.7123 0.0000
0.8602 0.3602 0.5000
```

Most intense lines, 2θ = 10–90°, sorted by position:
- 31.5 deg, 2.837 Å, I 100.0
- 32.0 deg, 2.800 Å, I 57.9
- 44.6 deg, 2.034 Å, I 11.0
- 45.8 deg, 1.980 Å, I 29.4
- 55.9 deg, 1.646 Å, I 15.2
- 56.7 deg, 1.624 Å, I 38.7
- 65.8 deg, 1.419 Å, I 12.8
- 76.0 deg, 1.252 Å, I 9.5

2.
The following is a theoretical X-ray powder pattern of Cu2Sn5Pd12. It was derived from DFT lattice parameters and positions (PBE), using Cu Kα X-rays.

Cell and atoms:
```
Cu2Sn5Pd12
1.0
7.5144 -2.7540 0.0000
7.5144 2.7540 0.0000
-2.7368 0.0000 8.6707
Cu Sn Pd
2 5 12
direct
0.2310 0.7690 0.0000
0.7690 0.2310 0.0000
0.0000 0.0000 0.5000
0.3222 0.3222 0.6571
0.3490 0.3490 0.1478
0.6510 0.6510 0.8522
0.6778 0.6778 0.3429
0.0561 0.5729 0.8971
0.0893 0.0893 0.2826
0.0902 0.5865 0.4041
0.4135 0.9098 0.5959
0.4271 0.9439 0.1029
0.4922 0.4922 0.6446
0.5078 0.5078 0.3554
0.5729 0.0561 0.8971
0.5865 0.0902 0.4041
0.9098 0.4135 0.5959
0.9107 0.9107 0.7174
0.9439 0.4271 0.1029
```

Most intense lines, 2θ = 10–90°, sorted by position:
- 25.4 deg, 3.506 Å, I 29.5
- 37.1 deg, 2.425 Å, I 27.5
- 37.7 deg, 2.389 Å, I 48.6
- 38.7 deg, 2.324 Å, I 72.1
- 39.7 deg, 2.273 Å, I 48.6
- 40.5 deg, 2.227 Å, I 21.7
- 42.8 deg, 2.113 Å, I 100.0
- 47.2 deg, 1.924 Å, I 25.3

3.
The following is a theoretical X-ray powder pattern of Ba2Cu12As7. It was derived from DFT lattice parameters and positions (PBE), using Cu Kα X-rays.

Cell and atoms:
```
Ba2Cu12As7
1.0
9.8497 0.0000 0.0000
-4.9248 8.5301 0.0000
0.0000 0.0000 4.2905
Ba Cu As
2 12 7
direct
0.3333 0.6667 0.2485
0.6667 0.3333 0.7515
0.0576 0.4108 0.7622
0.1161 0.2459 0.1839
0.1298 0.8839 0.1839
0.2459 0.1298 0.8161
0.3532 0.9424 0.7622
0.4108 0.3532 0.2378
0.5892 0.6468 0.7622
0.6468 0.0576 0.2378
0.7541 0.8702 0.1839
0.8702 0.1161 0.8161
0.8839 0.7541 0.8161
0.9424 0.5892 0.2378
0.0000 0.0000 0.5000
0.0909 0.6870 0.7365
0.3130 0.4039 0.7365
0.4039 0.0909 0.2635
0.5961 0.9091 0.7365
0.6870 0.5961 0.2635
0.9091 0.3130 0.2635
```

Most intense lines, 2θ = 10–90°, sorted by position:
- 29.5 deg, 3.025 Å, I 13.8
- 31.5 deg, 2.843 Å, I 21.1
- 34.8 deg, 2.577 Å, I 100.0
- 38.0 deg, 2.369 Å, I 18.2
- 42.1 deg, 2.145 Å, I 21.3
- 42.4 deg, 2.133 Å, I 13.4
- 48.9 deg, 1.861 Å, I 14.9
- 51.3 deg, 1.780 Å, I 19.9

4.
The following is a theoretical X-ray powder pattern of Er3Sc4Te4. It was derived from DFT lattice parameters and positions (PBE), using Cu Kα X-rays.

Cell and atoms:
```
Er3Sc4Te4
1.0
-1.9369 4.3727 8.2523
1.9369 -4.3727 8.2523
1.9369 4.3727 -8.2523
Er Sc Te
3 4 4
direct
0.0000 0.0000 0.0000
0.3928 0.8928 0.5000
0.6072 0.1072 0.5000
0.0204 0.3311 0.6893
0.3582 0.6689 0.6893
0.6418 0.3311 0.3107
0.9796 0.6689 0.3107
0.2522 0.2522 0.0000
0.2954 0.5000 0.7954
0.7046 0.5000 0.2046
0.7478 0.7478 0.0000
```

Most intense lines, 2θ = 10–90°, sorted by position:
- 20.3 deg, 4.373 Å, I 20.9
- 28.9 deg, 3.088 Å, I 21.1
- 31.3 deg, 2.856 Å, I 86.1
- 33.3 deg, 2.688 Å, I 100.0
- 34.8 deg, 2.576 Å, I 30.3
- 38.7 deg, 2.328 Å, I 19.8
- 41.3 deg, 2.186 Å, I 29.1
- 62.4 deg, 1.488 Å, I 35.4

5.
The following is a theoretical X-ray powder pattern of Dy8Th3Sc2. It was derived from DFT lattice parameters and positions (PBE), using Cu Kα X-rays.

Cell and atoms:
```
Dy8Th3Sc2
1.0
6.1002 0.0000 0.0000
-1.0313 6.0176 0.0000
-1.9725 -0.3867 10.8512
Dy Th Sc
8 3 2
direct
0.0385 0.4217 0.1550
0.1932 0.1093 0.7655
0.3417 0.8076 0.3878
0.4250 0.6516 0.6889
0.5750 0.3484 0.3111
0.6583 0.1924 0.6122
0.8068 0.8907 0.2345
0.9615 0.5783 0.8450
0.2692 0.9616 0.0755
0.5000 0.5000 0.0000
0.7308 0.0384 0.9245
0.1134 0.2688 0.4638
0.8866 0.7312 0.5362
```

Most intense lines, 2θ = 10–90°, sorted by position:
- 31.1 deg, 2.874 Å, I 98.8
- 31.3 deg, 2.862 Å, I 100.0
- 36.1 deg, 2.491 Å, I 67.0
- 36.4 deg, 2.469 Å, I 32.4
- 51.9 deg, 1.762 Å, I 24.0
- 52.2 deg, 1.753 Å, I 23.3
- 61.6 deg, 1.505 Å, I 14.2
- 61.8 deg, 1.500 Å, I 28.1

6.
The following is a theoretical X-ray powder pattern of TbZnAu2. It was derived from DFT lattice parameters and positions (PBE), using Cu Kα X-rays.

Cell and atoms:
```
TbZnAu2
1.0
7.6395 0.0000 0.0000
0.0000 7.4249 0.0000
0.0000 0.0000 5.6308
Tb Zn Au
4 4 8
direct
0.0398 0.2500 0.1428
0.4602 0.7500 0.6428
0.5398 0.2500 0.3572
0.9602 0.7500 0.8572
0.1107 0.7500 0.3648
0.3893 0.2500 0.8648
0.6107 0.7500 0.1352
0.8893 0.2500 0.6352
0.1892 0.0533 0.5888
0.1892 0.4467 0.5888
0.3108 0.5533 0.0888
0.3108 0.9467 0.0888
0.6892 0.0533 0.9112
0.6892 0.4467 0.9112
0.8108 0.5533 0.4112
0.8108 0.9467 0.4112
```

Most intense lines, 2θ = 10–90°, sorted by position:
- 31.1 deg, 2.872 Å, I 42.8
- 33.7 deg, 2.662 Å, I 100.0
- 33.9 deg, 2.642 Å, I 72.4
- 36.1 deg, 2.489 Å, I 71.8
- 37.4 deg, 2.407 Å, I 54.7
- 38.8 deg, 2.320 Å, I 78.2
- 41.6 deg, 2.172 Å, I 81.9
- 42.0 deg, 2.152 Å, I 55.5

7.
The following is a theoretical X-ray powder pattern of Er2Tm2Cd. It was derived from DFT lattice parameters and positions (PBE), using Cu Kα X-rays.

Cell and atoms:
```
Er2Tm2Cd
1.0
-1.7510 1.7510 11.6005
1.7510 -1.7510 11.6005
1.7510 1.7510 -11.6005
Er Tm Cd
2 2 1
direct
0.0911 0.0911 0.0000
0.9089 0.9089 0.0000
0.3025 0.3025 0.0000
0.6975 0.6975 0.0000
0.5000 0.5000 0.0000
```

Most intense lines, 2θ = 10–90°, sorted by position:
- 32.0 deg, 2.795 Å, I 100.0
- 36.3 deg, 2.476 Å, I 37.1
- 38.8 deg, 2.320 Å, I 13.3
- 52.2 deg, 1.751 Å, I 13.1
- 54.2 deg, 1.693 Å, I 20.3
- 62.6 deg, 1.484 Å, I 29.2
- 66.0 deg, 1.415 Å, I 9.5
- 67.0 deg, 1.398 Å, I 10.7

8.
The following is a theoretical X-ray powder pattern of TlHgGeAu3. It was derived from DFT lattice parameters and positions (PBE), using Cu Kα X-rays.

Cell and atoms:
```
TlHgGeAu3
1.0
3.0679 -8.8705 0.0000
3.0679 8.8705 0.0000
0.0000 0.0000 5.7659
Tl Hg Ge Au
2 2 2 6
direct
0.2490 0.7510 0.7500
0.7510 0.2490 0.2500
0.1259 0.8741 0.2500
0.8741 0.1259 0.7500
0.4234 0.5766 0.2500
0.5766 0.4234 0.7500
0.2291 0.2291 0.0000
0.2291 0.2291 0.5000
0.2824 0.7176 0.2500
0.7176 0.2824 0.7500
0.7709 0.7709 0.0000
0.7709 0.7709 0.5000
```

Most intense lines, 2θ = 10–90°, sorted by position:
- 20.0 deg, 4.435 Å, I 68.4
- 26.0 deg, 3.425 Å, I 36.9
- 30.8 deg, 2.899 Å, I 98.9
- 32.7 deg, 2.742 Å, I 88.6
- 42.5 deg, 2.129 Å, I 41.2
- 43.1 deg, 2.101 Å, I 100.0
- 43.9 deg, 2.064 Å, I 39.1
- 60.7 deg, 1.525 Å, I 29.0

9.
The following is a theoretical X-ray powder pattern of Ca2AcSn2Hg2. It was derived from DFT lattice parameters and positions (PBE), using Cu Kα X-rays.

Cell and atoms:
```
Ca2AcSn2Hg2
1.0
2.5406 1.4668 9.2508
-2.5406 1.4668 9.2508
0.0000 -2.9336 9.2508
Ca Ac Sn Hg
2 1 2 2
direct
0.1356 0.1356 0.1356
0.8644 0.8644 0.8644
0.0000 0.0000 0.0000
0.2621 0.2621 0.2621
0.7379 0.7379 0.7379
0.4384 0.4384 0.4384
0.5616 0.5616 0.5616
```

Most intense lines, 2θ = 10–90°, sorted by position:
- 21.2 deg, 4.195 Å, I 24.6
- 23.9 deg, 3.716 Å, I 40.9
- 30.3 deg, 2.945 Å, I 100.0
- 35.3 deg, 2.541 Å, I 97.5
- 41.2 deg, 2.189 Å, I 18.3
- 46.3 deg, 1.961 Å, I 21.7
- 47.2 deg, 1.924 Å, I 30.3
- 60.4 deg, 1.534 Å, I 29.1

10.
The following is a theoretical X-ray powder pattern of Ce5Pr3S8. It was derived from DFT lattice parameters and positions (PBE), using Cu Kα X-rays.

Cell and atoms:
```
Ce5Pr3S8
1.0
4.0540 2.3406 6.6291
-4.0540 2.3406 6.6291
0.0000 -4.6811 6.6291
Ce Pr S
5 3 8
direct
0.0000 0.0000 0.0000
0.0000 0.5000 0.5000
0.5000 0.0000 0.5000
0.5000 0.5000 0.0000
0.5000 0.5000 0.5000
0.0000 0.0000 0.5000
0.0000 0.5000 0.0000
0.5000 0.0000 0.0000
0.2500 0.2500 0.7461
0.2500 0.7461 0.2500
0.2521 0.2521 0.2521
0.2539 0.7500 0.7500
0.7461 0.2500 0.2500
0.7479 0.7479 0.7479
0.7500 0.2539 0.7500
0.7500 0.7500 0.2539
```

Most intense lines, 2θ = 10–90°, sorted by position:
- 26.9 deg, 3.312 Å, I 72.0
- 31.2 deg, 2.868 Å, I 100.0
- 44.7 deg, 2.028 Å, I 72.2
- 52.9 deg, 1.729 Å, I 35.7
- 55.5 deg, 1.656 Å, I 25.1
- 71.7 deg, 1.316 Å, I 14.4
- 73.9 deg, 1.283 Å, I 31.8
- 82.3 deg, 1.171 Å, I 18.1

11.
The following is a theoretical X-ray powder pattern of Dy3ThIr8. It was derived from DFT lattice parameters and positions (PBE), using Cu Kα X-rays.

Cell and atoms:
```
Dy3ThIr8
1.0
5.3950 0.0000 0.0000
-2.6975 4.6722 0.0000
0.0000 0.0000 8.7509
Dy Th Ir
3 1 8
direct
0.0000 0.0000 0.0000
0.0000 0.0000 0.3610
0.3333 0.6667 0.8735
0.3333 0.6667 0.5056
0.0063 0.5031 0.1836
0.3264 0.1632 0.6866
0.4969 0.5031 0.1836
0.4969 0.9937 0.1836
0.6667 0.3333 0.4338
0.6667 0.3333 0.9355
0.8368 0.1632 0.6866
0.8368 0.6736 0.6866
```

Most intense lines, 2θ = 10–90°, sorted by position:
- 33.2 deg, 2.697 Å, I 26.3
- 36.3 deg, 2.474 Å, I 71.6
- 39.2 deg, 2.296 Å, I 100.0
- 39.9 deg, 2.257 Å, I 98.0
- 43.9 deg, 2.061 Å, I 25.4
- 61.4 deg, 1.511 Å, I 28.5
- 66.8 deg, 1.401 Å, I 32.0
- 69.7 deg, 1.349 Å, I 31.0

12.
The following is a theoretical X-ray powder pattern of Rb2WI6Cl. It was derived from DFT lattice parameters and positions (PBE), using Cu Kα X-rays.

Cell and atoms:
```
Rb2WI6Cl
1.0
-4.2814 4.2814 6.1500
4.2814 -4.2814 6.1500
4.2814 4.2814 -6.1500
Rb W I Cl
2 1 6 1
direct
0.2500 0.7500 0.5000
0.7500 0.2500 0.5000
0.0000 0.0000 0.0000
0.2241 0.2241 0.0000
0.2275 0.2275 0.4550
0.2275 0.7725 0.0000
0.7725 0.2275 0.0000
0.7725 0.7725 0.5450
0.7759 0.7759 0.0000
0.5000 0.5000 0.0000
```

Most intense lines, 2θ = 10–90°, sorted by position:
- 12.6 deg, 7.028 Å, I 68.7
- 14.6 deg, 6.055 Å, I 37.0
- 25.3 deg, 3.514 Å, I 100.0
- 29.0 deg, 3.075 Å, I 45.9
- 29.5 deg, 3.027 Å, I 90.0
- 41.9 deg, 2.157 Å, I 62.2
- 42.2 deg, 2.141 Å, I 31.1
- 52.1 deg, 1.757 Å, I 30.3

13.
The following is a theoretical X-ray powder pattern of KCd11Ni. It was derived from DFT lattice parameters and positions (PBE), using Cu Kα X-rays.

Cell and atoms:
```
KCd11Ni
1.0
2.8182 -7.2235 0.0000
2.8182 7.2235 0.0000
-2.3900 0.0000 7.3865
K Cd Ni
1 11 1
direct
0.0000 0.0000 0.0000
0.0000 0.0000 0.5000
0.0000 0.5000 0.0000
0.0119 0.3552 0.3630
0.3033 0.5126 0.7717
0.3552 0.0119 0.3630
0.4874 0.6967 0.2283
0.5000 0.0000 0.0000
0.5126 0.3033 0.7717
0.6448 0.9881 0.6370
0.6967 0.4874 0.2283
0.9881 0.6448 0.6370
0.5000 0.5000 0.5000
```

Most intense lines, 2θ = 10–90°, sorted by position:
- 34.0 deg, 2.636 Å, I 50.2
- 34.7 deg, 2.582 Å, I 100.0
- 35.6 deg, 2.519 Å, I 45.3
- 35.7 deg, 2.514 Å, I 50.9
- 39.1 deg, 2.303 Å, I 50.1
- 39.4 deg, 2.289 Å, I 43.4
- 40.0 deg, 2.256 Å, I 44.0
- 40.6 deg, 2.220 Å, I 68.9